[1]
The following is a theoretical powder diffraction line list of Tb2Y7Ho4. It was derived from a DFT-relaxed cell (GGA-PBE, Alexandria), using copper Kα.
No peak broadening, texture or thermal motion is included.

Atomic structure:
Unit cell a=6.152 b=7.946 c=9.411 alpha=65.08 beta=83.79 gamma=82.56
Element x y z (fractional)
Tb  0.154  0.191  0.385
Tb  0.846  0.809  0.615
Y  0.000  0.500  0.000
Y  0.077  0.346  0.692
Y  0.232  0.038  0.077
Y  0.386  0.732  0.462
Y  0.614  0.268  0.538
Y  0.768  0.962  0.923
Y  0.923  0.654  0.308
Ho  0.307  0.883  0.770
Ho  0.460  0.576  0.153
Ho  0.540  0.424  0.847
Ho  0.693  0.117  0.230

Principal peaks in the range 10 to 90 degrees two-theta, low angle first:
Position (°2θ)	d (Å)	Rel. int.
30.8	2.903	100
35.7	2.514	50
51.4	1.779	6
51.4	1.777	29
61.1	1.517	17
61.2	1.515	24
64.2	1.451	9
83.8	1.154	6
83.9	1.153	10
86.5	1.125	4
86.6	1.124	7
86.7	1.123	5

***

[2]
The following is a theoretical powder diffraction line list of SbAu2Br8. It was derived from a DFT-relaxed cell (GGA-PBE, Alexandria), using copper Kα.
No peak broadening, texture or thermal motion is included.

Atomic structure:
Unit cell a=7.475 b=7.475 c=8.287 alpha=97.67 beta=97.67 gamma=65.03
Element x y z (fractional)
Sb  0.000  0.000  0.000
Au  0.270  0.270  0.645
Au  0.730  0.730  0.355
Br  0.086  0.086  0.710
Br  0.099  0.639  0.860
Br  0.361  0.901  0.140
Br  0.386  0.386  0.436
Br  0.614  0.614  0.564
Br  0.639  0.099  0.860
Br  0.901  0.361  0.140
Br  0.914  0.914  0.290

Principal peaks in the range 10 to 90 degrees two-theta, low angle first:
Position (°2θ)	d (Å)	Rel. int.
16.5	5.381	32
17.7	5.001	100
22.1	4.018	25
24.1	3.694	41
24.7	3.606	37
26.4	3.373	26
29.5	3.030	44
38.2	2.357	19
40.0	2.257	26
40.9	2.206	22
49.1	1.856	22
52.5	1.742	22

***

[3]
The following is a theoretical powder diffraction line list of Dy2PdSe. It was derived from a DFT-relaxed cell (GGA-PBE, Alexandria), using copper Kα.
No peak broadening, texture or thermal motion is included.

Atomic structure:
Unit cell a=3.867 b=22.683 c=4.280 alpha=90.00 beta=90.00 gamma=90.00
Element x y z (fractional)
Dy  0.000  0.064  0.250
Dy  0.000  0.320  0.250
Dy  0.000  0.680  0.750
Dy  0.000  0.936  0.750
Dy  0.500  0.180  0.750
Dy  0.500  0.436  0.750
Dy  0.500  0.564  0.250
Dy  0.500  0.820  0.250
Pd  0.000  0.456  0.250
Pd  0.000  0.544  0.750
Pd  0.500  0.044  0.750
Pd  0.500  0.956  0.250
Se  0.000  0.193  0.250
Se  0.000  0.807  0.750
Se  0.500  0.307  0.750
Se  0.500  0.693  0.250

Principal peaks in the range 10 to 90 degrees two-theta, low angle first:
Position (°2θ)	d (Å)	Rel. int.
26.1	3.416	16
31.4	2.847	100
31.6	2.835	52
33.4	2.683	20
42.1	2.148	67
42.2	2.140	30
47.0	1.934	22
53.7	1.708	23
57.7	1.598	19
65.0	1.435	16
70.4	1.337	21
74.1	1.280	18

***

[4]
The following is a theoretical powder diffraction line list of La4Pr2Tm3. It was derived from a DFT-relaxed cell (GGA-PBE, Alexandria), using copper Kα.
No peak broadening, texture or thermal motion is included.

Atomic structure:
Unit cell a=10.435 b=10.435 c=6.102 alpha=96.63 beta=96.63 gamma=70.29
Element x y z (fractional)
La  0.049  0.827  0.962
La  0.162  0.384  0.126
La  0.173  0.951  0.538
La  0.384  0.162  0.626
La  0.616  0.838  0.374
La  0.827  0.049  0.462
La  0.838  0.616  0.874
La  0.951  0.173  0.038
Pr  0.286  0.505  0.700
Pr  0.495  0.714  0.800
Pr  0.505  0.286  0.200
Pr  0.714  0.495  0.300
Tm  0.022  0.314  0.581
Tm  0.314  0.022  0.081
Tm  0.356  0.644  0.250
Tm  0.644  0.356  0.750
Tm  0.686  0.978  0.919
Tm  0.978  0.686  0.419

Principal peaks in the range 10 to 90 degrees two-theta, low angle first:
Position (°2θ)	d (Å)	Rel. int.
29.4	3.042	61
29.7	3.004	51
30.2	2.955	59
31.3	2.860	100
36.3	2.473	34
37.1	2.426	29
48.2	1.887	13
49.1	1.855	14
50.8	1.796	13
53.8	1.705	15
54.3	1.689	22
67.2	1.393	12

***

[5]
The following is a theoretical powder diffraction line list of Cs3Np2AgTe6. It was derived from a DFT-relaxed cell (GGA-PBE, Alexandria), using copper Kα.
No peak broadening, texture or thermal motion is included.

Atomic structure:
Unit cell a=7.903 b=7.903 c=9.218 alpha=98.09 beta=98.09 gamma=120.16
Element x y z (fractional)
Cs  0.000  0.000  0.000
Cs  0.339  0.661  0.000
Cs  0.661  0.339  0.000
Np  0.167  0.833  0.500
Np  0.833  0.167  0.500
Ag  0.500  0.500  0.500
Te  0.094  0.438  0.312
Te  0.222  0.222  0.683
Te  0.438  0.094  0.312
Te  0.562  0.906  0.688
Te  0.778  0.778  0.317
Te  0.906  0.562  0.688

Principal peaks in the range 10 to 90 degrees two-theta, low angle first:
Position (°2θ)	d (Å)	Rel. int.
10.0	8.843	25
26.3	3.392	100
32.7	2.737	9
35.3	2.539	32
39.5	2.283	13
39.6	2.278	25
40.8	2.210	7
40.9	2.204	7
44.0	2.058	8
48.1	1.892	19
54.0	1.698	6
63.9	1.457	11

***

[6]
The following is a theoretical powder diffraction line list of Ba3SrF8. It was derived from a DFT-relaxed cell (GGA-PBE, Alexandria), using copper Kα.
No peak broadening, texture or thermal motion is included.

Atomic structure:
Unit cell a=7.557 b=7.557 c=7.557 alpha=131.78 beta=131.78 gamma=70.58
Element x y z (fractional)
Ba  0.000  0.000  0.000
Ba  0.250  0.750  0.500
Ba  0.750  0.250  0.500
Sr  0.500  0.500  0.000
F  0.137  0.137  0.517
F  0.137  0.620  0.000
F  0.380  0.380  0.517
F  0.380  0.863  0.000
F  0.620  0.137  0.000
F  0.620  0.620  0.483
F  0.863  0.380  0.000
F  0.863  0.863  0.483

Principal peaks in the range 10 to 90 degrees two-theta, low angle first:
Position (°2θ)	d (Å)	Rel. int.
16.1	5.522	2
25.0	3.564	100
28.9	3.086	23
41.4	2.182	67
48.9	1.861	47
51.3	1.782	7
59.9	1.543	10
66.0	1.416	20
67.9	1.380	10
75.4	1.260	20
80.9	1.188	15
89.9	1.091	7

***

[7]
The following is a theoretical powder diffraction line list of Ac6SnSe3S2. It was derived from a DFT-relaxed cell (GGA-PBE, Alexandria), using copper Kα.
No peak broadening, texture or thermal motion is included.

Atomic structure:
Unit cell a=10.056 b=10.056 c=8.972 alpha=103.40 beta=103.40 gamma=25.85
Element x y z (fractional)
Ac  0.005  0.005  0.259
Ac  0.330  0.330  0.424
Ac  0.331  0.331  0.906
Ac  0.669  0.669  0.094
Ac  0.670  0.670  0.576
Ac  0.995  0.995  0.741
Sn  0.500  0.500  0.000
Se  0.164  0.164  0.830
Se  0.500  0.500  0.500
Se  0.836  0.836  0.170
S  0.170  0.170  0.337
S  0.830  0.830  0.663

Principal peaks in the range 10 to 90 degrees two-theta, low angle first:
Position (°2θ)	d (Å)	Rel. int.
24.2	3.673	37
24.4	3.648	12
28.1	3.175	100
40.1	2.251	39
40.3	2.239	38
47.4	1.919	11
47.5	1.914	8
49.7	1.835	14
58.1	1.588	13
65.6	1.423	12
66.0	1.416	11
73.0	1.296	9

***

[8]
The following is a theoretical powder diffraction line list of BC5. It was derived from a DFT-relaxed cell (GGA-PBE, Alexandria), using copper Kα.
No peak broadening, texture or thermal motion is included.

Atomic structure:
Unit cell a=2.529 b=2.529 c=12.995 alpha=90.00 beta=90.00 gamma=120.00
Element x y z (fractional)
B  0.333  0.667  0.460
B  0.667  0.333  0.540
C  0.000  0.000  0.179
C  0.000  0.000  0.298
C  0.000  0.000  0.702
C  0.000  0.000  0.821
C  0.333  0.667  0.338
C  0.333  0.667  0.861
C  0.333  0.667  0.980
C  0.667  0.333  0.020
C  0.667  0.333  0.139
C  0.667  0.333  0.662

Principal peaks in the range 10 to 90 degrees two-theta, low angle first:
Position (°2θ)	d (Å)	Rel. int.
13.6	6.498	11
20.5	4.332	2
41.7	2.166	27
43.6	2.075	100
46.5	1.954	2
49.1	1.856	5
66.0	1.416	2
72.4	1.305	19
75.1	1.264	25
79.5	1.205	7
87.2	1.118	6
89.8	1.092	11

***

[9]
The following is a theoretical powder diffraction line list of PrNdIn4. It was derived from a DFT-relaxed cell (GGA-PBE, Alexandria), using copper Kα.
No peak broadening, texture or thermal motion is included.

Atomic structure:
Unit cell a=5.062 b=5.334 c=12.398 alpha=90.00 beta=90.00 gamma=90.00
Element x y z (fractional)
Pr  0.000  0.000  0.000
Pr  0.500  0.500  0.000
Nd  0.000  0.500  0.500
Nd  0.500  0.000  0.500
In  0.000  0.000  0.323
In  0.000  0.000  0.677
In  0.000  0.500  0.179
In  0.000  0.500  0.821
In  0.500  0.000  0.179
In  0.500  0.000  0.821
In  0.500  0.500  0.323
In  0.500  0.500  0.677

Principal peaks in the range 10 to 90 degrees two-theta, low angle first:
Position (°2θ)	d (Å)	Rel. int.
32.6	2.745	100
33.6	2.667	24
35.5	2.531	21
43.8	2.066	10
49.7	1.836	16
56.3	1.633	9
57.6	1.601	9
59.5	1.554	17
61.9	1.499	15
68.4	1.372	10
73.4	1.290	7
82.1	1.174	7

***

[10]
The following is a theoretical powder diffraction line list of Ac3P4Pt4. It was derived from a DFT-relaxed cell (GGA-PBE, Alexandria), using copper Kα.
No peak broadening, texture or thermal motion is included.

Atomic structure:
Unit cell a=12.668 b=12.668 c=4.513 alpha=99.51 beta=99.51 gamma=19.26
Element x y z (fractional)
Ac  0.000  0.000  0.000
Ac  0.349  0.349  0.857
Ac  0.647  0.647  0.141
P  0.195  0.195  0.750
P  0.451  0.451  0.427
P  0.548  0.548  0.542
P  0.809  0.809  0.318
Pt  0.095  0.095  0.601
Pt  0.258  0.258  0.266
Pt  0.739  0.739  0.657
Pt  0.906  0.906  0.431

Principal peaks in the range 10 to 90 degrees two-theta, low angle first:
Position (°2θ)	d (Å)	Rel. int.
23.6	3.766	30
27.0	3.305	11
29.0	3.078	13
32.1	2.792	36
32.3	2.771	69
32.5	2.752	100
40.0	2.256	29
42.7	2.119	28
45.8	1.980	32
54.4	1.688	16
59.9	1.545	18
62.0	1.497	14

***

[11]
The following is a theoretical powder diffraction line list of KNaEuTaO5. It was derived from a DFT-relaxed cell (GGA-PBE, Alexandria), using copper Kα.
No peak broadening, texture or thermal motion is included.

Atomic structure:
Unit cell a=5.761 b=5.761 c=8.358 alpha=90.00 beta=90.00 gamma=90.00
Element x y z (fractional)
K  0.250  0.750  0.000
K  0.750  0.250  0.000
Na  0.250  0.250  0.242
Na  0.750  0.750  0.758
Eu  0.250  0.750  0.500
Eu  0.750  0.250  0.500
Ta  0.250  0.250  0.740
Ta  0.750  0.750  0.260
O  0.020  0.020  0.670
O  0.020  0.480  0.670
O  0.250  0.250  0.964
O  0.480  0.020  0.670
O  0.480  0.480  0.670
O  0.520  0.520  0.330
O  0.520  0.980  0.330
O  0.750  0.750  0.036
O  0.980  0.520  0.330
O  0.980  0.980  0.330

Principal peaks in the range 10 to 90 degrees two-theta, low angle first:
Position (°2θ)	d (Å)	Rel. int.
10.6	8.358	37
18.7	4.743	62
24.3	3.662	17
30.6	2.917	100
31.0	2.880	40
36.5	2.462	20
44.5	2.037	27
54.2	1.691	24
55.0	1.670	39
63.8	1.459	12
89.3	1.097	12
90.0	1.091	11